Starting from a structure optimized by DFT (PBE), the powder X-ray diffraction pattern of Sm3TmIn was calculated for Cu Ka.

Structure:
Lattice parameters (Å, degrees): 12.868 12.868 4.882 90.00 90.00 158.14
Atoms (fractional coordinates):
Sm1 0.053 0.947 0.750
Sm2 0.249 0.751 0.750
Sm3 0.447 0.553 0.750
Sm4 0.553 0.447 0.250
Sm5 0.751 0.249 0.250
Sm6 0.947 0.053 0.250
Tm1 0.151 0.849 0.250
Tm2 0.849 0.151 0.750
In1 0.347 0.653 0.250
In2 0.653 0.347 0.750

The 10 most intense peaks (10° ≤ 2θ ≤ 90°), low angle first:
| 2θ/deg | Rel. int. |
| --- | --- |
| 31.39 | 100 |
| 35.53 | 18 |
| 36.83 | 33 |
| 52.10 | 24 |
| 53.07 | 11 |
| 61.22 | 14 |
| 62.96 | 27 |
| 65.50 | 12 |
| 85.28 | 11 |
| 86.81 | 11 |